Simulated X-ray diffraction stick pattern
Compound: Nd3Si5
Radiation: Cu Kα (weighted mean of Kα1 and Kα2)
Structure: a PBE-relaxed structure
Lines closer than 0.1° are merged.

Main lines, in order of rising 2θ (15 to 90 degrees two-theta):
22.5 deg, I 49; 25.7 deg, I 25; 29.0 deg, I 53; 33.4 deg, I 100; 39.1 deg, I 39; 44.0 deg, I 30

Cell and atoms:
```
data_Nd3Si5
_chemical_formula_sum 'Nd24 Si40'
_cell_length_a 5.8283
_cell_length_b 17.4667
_cell_length_c 13.8847
_cell_angle_alpha 90.00
_cell_angle_beta 90.00
_cell_angle_gamma 90.00
_space_group_name_H-M_alt 'F d d 2'
_space_group_IT_number 43
_space_group_name_Hall 'F 2 -2d'
loop_
_atom_site_label
_atom_site_type_symbol
_atom_site_fract_x
_atom_site_fract_y
_atom_site_fract_z
_atom_site_occupancy
Nd1 Nd 0.0000 0.0000 0.0000 1
Nd2 Nd 0.0060 0.3311 0.0037 1
Si1 Si 0.0000 0.0000 0.4314 1
Si2 Si 0.0093 0.1703 0.9146 1
Si3 Si 0.0184 0.3359 0.5864 1
```



Simulated X-ray diffraction stick pattern
Compound: AlW4N3
Radiation: Cu Kα (weighted mean of Kα1 and Kα2)
Structure: a PBE-relaxed structure
Lines closer than 0.1° are merged.

Main lines, in order of rising 2θ (15 to 90 degrees two-theta):
26.7 deg, I 47; 33.6 deg, I 36; 37.4 deg, I 51; 40.6 deg, I 58; 42.2 deg, I 100; 55.9 deg, I 39

Cell and atoms:
```
data_AlW4N3
_chemical_formula_sum 'Al2 W8 N6'
_cell_length_a 2.8261
_cell_length_b 2.8261
_cell_length_c 26.6616
_cell_angle_alpha 90.00
_cell_angle_beta 90.00
_cell_angle_gamma 120.00
_space_group_name_H-M_alt 'P 63/m m c'
_space_group_IT_number 194
_space_group_name_Hall '-P 6c 2c'
loop_
_atom_site_label
_atom_site_type_symbol
_atom_site_fract_x
_atom_site_fract_y
_atom_site_fract_z
_atom_site_occupancy
Al1 Al 0.3333 0.6667 0.2500 1
W1 W 0.0000 0.0000 0.1660 1
W2 W 0.3333 0.6667 0.0557 1
N1 N 0.0000 0.0000 0.0000 1
N2 N 0.3333 0.6667 0.6128 1
```



Simulated X-ray diffraction stick pattern
Compound: Li2HfZnGe2Ir2
Radiation: Cu Kα (weighted mean of Kα1 and Kα2)
Structure: a PBE-relaxed structure
Lines closer than 0.1° are merged.

Main lines, in order of rising 2θ (15 to 90 degrees two-theta):
24.9 deg, I 87; 41.1 deg, I 100; 41.6 deg, I 49; 49.1 deg, I 29; 74.6 deg, I 17; 75.5 deg, I 33

Cell and atoms:
```
data_Li2HfZnGe2Ir2
_chemical_formula_sum 'Li2 Hf1 Zn1 Ge2 Ir2'
_cell_length_a 4.3457
_cell_length_b 4.3457
_cell_length_c 6.2729
_cell_angle_alpha 90.00
_cell_angle_beta 90.00
_cell_angle_gamma 90.00
_space_group_name_H-M_alt 'P -4 m 2'
_space_group_IT_number 115
loop_
_space_group_symop_operation_xyz
'x,y,z'
'y,-x,-z'
'-x,-y,z'
'-y,x,-z'
'-x,y,z'
'-y,-x,-z'
'x,-y,z'
'y,x,-z'
loop_
_atom_site_label
_atom_site_type_symbol
_atom_site_fract_x
_atom_site_fract_y
_atom_site_fract_z
_atom_site_occupancy
Li1 Li 0.0000 0.5000 0.2122 1
Hf1 Hf 0.0000 0.0000 0.5000 1
Zn1 Zn 0.5000 0.5000 0.0000 1
Ge1 Ge 0.0000 0.0000 0.0000 1
Ge2 Ge 0.5000 0.5000 0.5000 1
Ir1 Ir 0.0000 0.5000 0.7458 1
```



Simulated X-ray diffraction stick pattern
Compound: TbPr2Mg3In3
Radiation: Cu Kα (weighted mean of Kα1 and Kα2)
Structure: a PBE-relaxed structure
Lines closer than 0.1° are merged.

Main lines, in order of rising 2θ (15 to 90 degrees two-theta):
26.7 deg, I 25; 29.8 deg, I 26; 30.0 deg, I 58; 32.8 deg, I 100; 33.0 deg, I 55; 37.8 deg, I 37

Cell and atoms:
```
data_TbPr2Mg3In3
_chemical_formula_sum 'Tb2 Pr4 Mg6 In6'
_cell_length_a 4.7572
_cell_length_b 13.1943
_cell_length_c 7.7291
_cell_angle_alpha 90.00
_cell_angle_beta 90.00
_cell_angle_gamma 90.00
_space_group_name_H-M_alt 'A m m 2'
_space_group_IT_number 38
loop_
_space_group_symop_operation_xyz
'x,y,z'
'-x,-y,z'
'-x,y,z'
'x,-y,z'
'x,y+1/2,z+1/2'
'-x,-y+1/2,z+1/2'
'-x,y+1/2,z+1/2'
'x,-y+1/2,z+1/2'
loop_
_atom_site_label
_atom_site_type_symbol
_atom_site_fract_x
_atom_site_fract_y
_atom_site_fract_z
_atom_site_occupancy
Tb1 Tb 0.0000 0.0000 0.0000 1
Pr1 Pr 0.0000 0.2159 0.6470 1
Mg1 Mg 0.5000 0.0000 0.6702 1
Mg2 Mg 0.5000 0.1204 0.3091 1
In1 In 0.0000 0.0000 0.4233 1
In2 In 0.5000 0.1633 0.9314 1
```



Simulated X-ray diffraction stick pattern
Compound: PrNdNi8B2
Radiation: Cu Kα (weighted mean of Kα1 and Kα2)
Structure: a PBE-relaxed structure
Lines closer than 0.1° are merged.

Main lines, in order of rising 2θ (15 to 90 degrees two-theta):
32.6 deg, I 82; 35.3 deg, I 29; 40.9 deg, I 77; 43.9 deg, I 100; 61.6 deg, I 26; 69.3 deg, I 24

Cell and atoms:
```
data_PrNdNi8B2
_chemical_formula_sum 'Pr1 Nd1 Ni8 B2'
_cell_length_a 5.0903
_cell_length_b 5.0903
_cell_length_c 7.0198
_cell_angle_alpha 90.00
_cell_angle_beta 90.00
_cell_angle_gamma 120.00
_space_group_name_H-M_alt 'P 6/m m m'
_space_group_IT_number 191
_space_group_name_Hall '-P 6 2'
loop_
_atom_site_label
_atom_site_type_symbol
_atom_site_fract_x
_atom_site_fract_y
_atom_site_fract_z
_atom_site_occupancy
Pr1 Pr 0.0000 0.0000 0.0000 1
Nd1 Nd 0.0000 0.0000 0.5000 1
Ni1 Ni 0.0000 0.5000 0.2945 1
Ni2 Ni 0.3333 0.6667 0.0000 1
B1 B 0.3333 0.6667 0.5000 1
```



Simulated X-ray diffraction stick pattern
Compound: Sm3Si2S8Br
Radiation: Cu Kα (weighted mean of Kα1 and Kα2)
Structure: a PBE-relaxed structure
Lines closer than 0.1° are merged.

Main lines, in order of rising 2θ (15 to 90 degrees two-theta):
16.5 deg, I 100; 21.4 deg, I 59; 23.3 deg, I 63; 24.7 deg, I 78; 33.1 deg, I 85; 39.5 deg, I 77

Cell and atoms:
```
data_Sm3Si2S8Br
_chemical_formula_sum 'Sm12 Si8 S32 Br4'
_cell_length_a 15.6751
_cell_length_b 7.6429
_cell_length_c 10.8566
_cell_angle_alpha 90.00
_cell_angle_beta 98.50
_cell_angle_gamma 90.00
_space_group_name_H-M_alt 'C 1 2/c 1'
_space_group_IT_number 15
loop_
_space_group_symop_operation_xyz
'x,y,z'
'-x,-y,-z'
'-x,y,-z+1/2'
'x,-y,z+1/2'
'x+1/2,y+1/2,z'
'-x+1/2,-y+1/2,-z'
'-x+1/2,y+1/2,-z+1/2'
'x+1/2,-y+1/2,z+1/2'
loop_
_atom_site_label
_atom_site_type_symbol
_atom_site_fract_x
_atom_site_fract_y
_atom_site_fract_z
_atom_site_occupancy
Sm1 Sm 0.0000 0.1187 0.2500 1
Sm2 Sm 0.1988 0.3758 0.6832 1
Si1 Si 0.1587 0.0353 0.0271 1
S1 S 0.0660 0.1623 0.5417 1
S2 S 0.1442 0.2529 0.1438 1
S3 S 0.1468 0.0948 0.8343 1
S4 S 0.2159 0.4300 0.4135 1
Br1 Br 0.0000 0.4928 0.7500 1
```



Simulated X-ray diffraction stick pattern
Compound: LaFeSi
Radiation: Cu Kα (weighted mean of Kα1 and Kα2)
Structure: a PBE-relaxed structure
Lines closer than 0.1° are merged.

Main lines, in order of rising 2θ (15 to 90 degrees two-theta):
25.2 deg, I 93; 33.5 deg, I 100; 40.3 deg, I 68; 44.3 deg, I 53; 56.7 deg, I 49; 74.7 deg, I 44

Cell and atoms:
```
data_LaFeSi
_chemical_formula_sum 'La2 Fe2 Si2'
_cell_length_a 4.0870
_cell_length_b 4.0870
_cell_length_c 7.0709
_cell_angle_alpha 90.00
_cell_angle_beta 90.00
_cell_angle_gamma 90.00
_space_group_name_H-M_alt 'P 4/n m m'
_space_group_IT_number 129
loop_
_space_group_symop_operation_xyz
'x,y,z'
'-x,-y,-z'
'-y+1/2,x,z'
'y+1/2,-x,-z'
'-x+1/2,-y+1/2,z'
'x+1/2,y+1/2,-z'
'y,-x+1/2,z'
'-y,x+1/2,-z'
'x+1/2,-y,-z'
'-x+1/2,y,z'
'-y,-x,-z'
'y,x,z'
'-x,y+1/2,-z'
'x,-y+1/2,z'
'y+1/2,x+1/2,-z'
'-y+1/2,-x+1/2,z'
loop_
_atom_site_label
_atom_site_type_symbol
_atom_site_fract_x
_atom_site_fract_y
_atom_site_fract_z
_atom_site_occupancy
La1 La 0.2500 0.2500 0.1874 1
Fe1 Fe 0.2500 0.7500 0.5000 1
Si1 Si 0.2500 0.2500 0.6574 1
```



Simulated X-ray diffraction stick pattern
Compound: Zr3Bi2As2Pd4
Radiation: Cu Kα (weighted mean of Kα1 and Kα2)
Structure: a PBE-relaxed structure
Lines closer than 0.1° are merged.

Main lines, in order of rising 2θ (15 to 90 degrees two-theta):
20.1 deg, I 22; 24.4 deg, I 62; 40.2 deg, I 100; 40.8 deg, I 49; 48.1 deg, I 21; 73.8 deg, I 33

Cell and atoms:
```
data_Zr3Bi2As2Pd4
_chemical_formula_sum 'Zr6 Bi4 As4 Pd8'
_cell_length_a 6.2618
_cell_length_b 6.2618
_cell_length_c 12.8567
_cell_angle_alpha 90.00
_cell_angle_beta 90.00
_cell_angle_gamma 90.00
_space_group_name_H-M_alt 'I -4 2 m'
_space_group_IT_number 121
_space_group_name_Hall 'I -4 2'
loop_
_atom_site_label
_atom_site_type_symbol
_atom_site_fract_x
_atom_site_fract_y
_atom_site_fract_z
_atom_site_occupancy
Zr1 Zr 0.0000 0.0000 0.0000 1
Zr2 Zr 0.0000 0.5000 0.2500 1
Bi1 Bi 0.0000 0.5000 0.0000 1
As1 As 0.0000 0.0000 0.2538 1
Pd1 Pd 0.2417 0.2417 0.8641 1
```